# 1
The following is a calculated powder diffractogram of Cs2Be2H7. It was derived from a structure optimized by DFT (GGA-PBE), using copper Kα.
Intensities are scaled so that the largest is 100.

Atomic structure:
abc: 8.1407 10.2740 3.7249
angles: 90.00 90.62 90.00
Space group C2/m (No. 12)
One atom of each set of equivalent atoms:
Cs  0.0000  0.2314  0.0000
Be  0.1781  0.5000  0.5409
H  0.0000  0.5000  0.5000
H  0.1991  0.5000  0.9686
H  0.2456  0.3743  0.4893

Most intense lines, 2θ from 15° to 90°, in order of rising 2θ:
17.3 deg, I = 100.0, (0 2 0); 21.8 deg, I = 63.4, (2 0 0); 23.9 deg, I = 50.4, (0 0 1); 28.0 deg, I = 80.3, (2 2 0); 29.6 deg, I = 70.0, (0 2 1); 32.4 deg, I = 28.2, (2 0 -1); 32.8 deg, I = 28.5, (2 0 1); 36.9 deg, I = 34.9, (2 2 -1); 37.3 deg, I = 36.1, (2 2 1); 41.6 deg, I = 20.6, (2 4 0)


# 2
The following is a calculated powder diffractogram of CrTcMo. It was derived from a structure optimized by DFT (GGA-PBE), using copper Kα.
Intensities are scaled so that the largest is 100.

Atomic structure:
abc: 5.1792 7.4283 4.4652
angles: 90.00 90.00 90.00
Space group Pnnm (No. 58)
One atom of each set of equivalent atoms:
Cr  0.1737  0.1607  0.0000
Tc  0.1849  0.3383  0.5000
Mo  0.0000  0.0000  0.5000
Mo  0.0000  0.5000  0.0000

Most intense lines, 2θ from 15° to 90°, in order of rising 2θ:
36.8 deg, I = 22.7, (2 1 0); 40.4 deg, I = 55.7, (0 0 2); 41.7 deg, I = 100.0, (0 3 1); 42.1 deg, I = 69.6, (2 1 1); 42.6 deg, I = 30.0, (2 2 0); 47.4 deg, I = 23.8, (2 2 1); 60.1 deg, I = 20.7, (2 2 2); 74.4 deg, I = 21.1, (0 3 3); 76.1 deg, I = 12.8, (2 4 2); 77.0 deg, I = 16.3, (0 6 0)


# 3
The following is a calculated powder diffractogram of CsYTc2O8. It was derived from a structure optimized by DFT (GGA-PBE), using copper Kα.
Intensities are scaled so that the largest is 100.

Atomic structure:
abc: 6.0384 6.0384 8.4747
angles: 90.00 90.00 120.00
Space group P-3 (No. 147)
One atom of each set of equivalent atoms:
Cs  0.0000  0.0000  0.0000
Y  0.0000  0.0000  0.5000
Tc  0.3333  0.6667  0.7325
O  0.1676  0.3430  0.6614
O  0.3333  0.6667  0.9390

Most intense lines, 2θ from 15° to 90°, in order of rising 2θ:
17.0 deg, I = 20.8, (1 0 0); 20.0 deg, I = 100.0, (1 0 1); 27.1 deg, I = 92.6, (0 1 2); 29.6 deg, I = 71.2, (1 1 0); 40.5 deg, I = 37.0, (0 2 2); 47.2 deg, I = 17.8, (2 1 1); 51.0 deg, I = 30.9, (3 -2 2); 52.5 deg, I = 13.8, (3 0 0); 52.8 deg, I = 27.1, (1 1 4); 61.4 deg, I = 13.3, (2 2 0)


# 4
The following is a calculated powder diffractogram of EuAu3. It was derived from a structure optimized by DFT (GGA-PBE), using copper Kα.
Intensities are scaled so that the largest is 100.

Atomic structure:
abc: 4.4393 4.4393 4.4410
angles: 90.00 90.00 90.00
Space group P4mm (No. 99)
One atom of each set of equivalent atoms:
Eu  0.0000  0.0000  0.0000
Au  0.0000  0.5000  0.4997
Au  0.5000  0.5000  0.9980

Most intense lines, 2θ from 15° to 90°, in order of rising 2θ:
20.0 deg, I = 1.0, (0 0 1); 28.4 deg, I = 0.9, (1 0 1); 35.0 deg, I = 100.0, (1 1 1); 40.6 deg, I = 50.0, (2 0 0); 45.7 deg, I = 0.6, (1 0 2); 58.8 deg, I = 34.1, (2 2 0); 70.3 deg, I = 40.4, (3 1 1); 74.0 deg, I = 11.7, (2 2 2); 88.0 deg, I = 5.9, (4 0 0)


# 5
The following is a calculated powder diffractogram of ZnIn4W. It was derived from a structure optimized by DFT (GGA-PBE), using copper Kα.
Intensities are scaled so that the largest is 100.

Atomic structure:
abc: 8.0587 8.0587 8.0587
angles: 90.00 90.00 90.00
Space group F-43m (No. 216)
One atom of each set of equivalent atoms:
Zn  0.0000  0.0000  0.0000
In  0.1251  0.1251  0.6251
W  0.2500  0.2500  0.2500

Most intense lines, 2θ from 15° to 90°, in order of rising 2θ:
19.1 deg, I = 9.0, (1 1 1); 22.1 deg, I = 6.3, (2 0 0); 31.4 deg, I = 28.1, (2 2 0); 37.0 deg, I = 100.0, (3 1 1); 38.7 deg, I = 38.5, (2 2 2); 55.9 deg, I = 11.0, (4 2 2); 59.6 deg, I = 32.5, (5 1 1); 65.5 deg, I = 26.6, (4 4 0); 77.7 deg, I = 11.1, (5 3 3); 78.8 deg, I = 13.9, (6 2 2)


# 6
The following is a calculated powder diffractogram of SrCa3Se4O12. It was derived from a structure optimized by DFT (GGA-PBE), using copper Kα.
Intensities are scaled so that the largest is 100.

Atomic structure:
abc: 11.4033 11.4033 8.8159
angles: 90.00 90.00 120.00
Space group R32 (No. 155, hexagonal axes)
One atom of each set of equivalent atoms:
Sr  0.0000  0.0000  0.0000
Ca  0.0000  0.5712  0.0000
Se  0.0000  0.0000  0.5000
Se  0.0000  0.4072  0.5000
O  0.0000  0.5582  0.5000
O  0.0000  0.8408  0.5000
O  0.0379  0.1892  0.1929

Most intense lines, 2θ from 15° to 90°, in order of rising 2θ:
25.9 deg, I = 31.2, (2 1 1); 27.1 deg, I = 100.0, (2 0 2); 31.4 deg, I = 24.4, (2 2 0); 34.3 deg, I = 41.3, (1 1 3); 41.9 deg, I = 10.0, (0 4 2); 45.0 deg, I = 39.3, (0 2 4); 50.6 deg, I = 17.2, (5 0 2); 58.4 deg, I = 28.3, (5 2 0); 63.2 deg, I = 14.5, (0 0 6); 70.0 deg, I = 10.1, (0 7 2)